For Te6RuBr8, a crystal structure in the Materials Project, relaxed with GGA-PBE gives the theoretical X-ray powder pattern in this record (Cu Kα, 1.54184 Å).

Top 10 peaks for 2θ from 10° to 80°, most intense first:
hkl	2θ (°)	I (rel.)
1 0 0	10.5	100
1 1 3	28.1	34
0 6 0	31.4	34
3 0 -4	29.5	34
0 0 4	27.6	26
0 2 1	12.4	24
2 0 2	30.6	16
3 3 -2	31.6	16
0 2 0	10.3	15
3 6 -4	43.6	13

Atomic structure:
```
data_Te6RuBr8
_chemical_formula_sum 'Te24 Ru4 Br32'
_cell_length_a 9.833
_cell_length_b 17.126
_cell_length_c 15.060
_cell_angle_alpha 90.00
_cell_angle_beta 120.64
_cell_angle_gamma 90.00
_space_group_name_H-M_alt 'P 1 21/c 1'
_space_group_IT_number 14
loop_
_space_group_symop_operation_xyz
'x,y,z'
'-x,-y,-z'
'-x,y+1/2,-z+1/2'
'x,-y+1/2,z+1/2'
loop_
_atom_site_label
_atom_site_type_symbol
_atom_site_fract_x
_atom_site_fract_y
_atom_site_fract_z
Te1 Te 0.035 0.077 0.138
Te2 Te 0.061 0.732 0.677
Te3 Te 0.116 0.078 0.751
Te4 Te 0.200 0.090 0.028
Te5 Te 0.230 0.577 0.571
Te6 Te 0.304 0.560 0.849
Ru1 Ru 0.055 0.578 0.661
Br1 Br 0.082 0.028 0.399
Br2 Br 0.109 0.241 0.531
Br3 Br 0.233 0.719 0.894
Br4 Br 0.302 0.200 0.866
Br5 Br 0.308 0.715 0.180
Br6 Br 0.327 0.528 0.353
Br7 Br 0.380 0.087 0.332
Br8 Br 0.460 0.112 0.664
```

***

For GdS2, a crystal structure in the Materials Project, relaxed with GGA-PBE gives the theoretical X-ray powder pattern in this record (Cu Kα, 1.54184 Å).

Top 10 peaks for 2θ from 10° to 80°, most intense first:
hkl	2θ (°)	I (rel.)
1 0 -2	25.2	100
2 1 -2	39.4	59
3 0 2	40.9	42
0 1 2	32.1	42
2 0 0	22.2	28
0 0 4	46.0	25
1 1 4	53.2	24
3 1 -4	63.2	21
1 1 2	34.1	16
3 0 0	33.6	13

Atomic structure:
```
data_GdS2
_chemical_formula_sum 'Gd4 S8'
_cell_length_a 7.994
_cell_length_b 3.945
_cell_length_c 7.886
_cell_angle_alpha 90.00
_cell_angle_beta 90.07
_cell_angle_gamma 90.00
_space_group_name_H-M_alt 'P 1 21/c 1'
_space_group_IT_number 14
loop_
_space_group_symop_operation_xyz
'x,y,z'
'-x,-y,-z'
'-x,y+1/2,-z+1/2'
'x,-y+1/2,z+1/2'
loop_
_atom_site_label
_atom_site_type_symbol
_atom_site_fract_x
_atom_site_fract_y
_atom_site_fract_z
Gd1 Gd 0.224 0.215 0.371
S1 S 0.133 0.739 0.125
S2 S 0.497 0.662 0.390
```

***

For PtPb, a crystal structure in the Materials Project, relaxed with GGA-PBE gives the theoretical X-ray powder pattern in this record (Cu Kα, 1.54184 Å).

Top 10 peaks for 2θ from 10° to 80°, most intense first:
hkl	2θ (°)	I (rel.)
1 0 2	40.1	100
1 0 1	28.4	90
1 1 0	41.1	85
2 1 2	74.3	34
2 0 2	58.8	33
2 0 1	50.8	19
1 0 0	23.4	19
2 1 1	67.3	16
3 0 0	75.0	15
1 0 3	55.0	15

Atomic structure:
```
data_PtPb
_chemical_formula_sum 'Pt2 Pb2'
_cell_length_a 4.3877
_cell_length_b 4.3877
_cell_length_c 5.5793
_cell_angle_alpha 90.00
_cell_angle_beta 90.00
_cell_angle_gamma 120.00
_space_group_name_H-M_alt 'P 63/m m c'
_space_group_IT_number 194
_space_group_name_Hall '-P 6c 2c'
loop_
_atom_site_label
_atom_site_type_symbol
_atom_site_fract_x
_atom_site_fract_y
_atom_site_fract_z
Pt1 Pt 0.0000 0.0000 0.0000
Pb1 Pb 0.3333 0.6667 0.2500
```

***

For DyZnSi, a crystal structure in the Materials Project, relaxed with GGA-PBE gives the theoretical X-ray powder pattern in this record (Cu Kα, 1.54184 Å).

Top 10 peaks for 2θ from 10° to 80°, most intense first:
hkl	2θ (°)	I (rel.)
1 0 1	33.5	100
1 1 0	44.0	35
1 0 0	25.0	31
2 0 1	56.4	22
1 1 2	64.6	22
2 1 1	74.1	20
0 0 2	44.8	11
1 0 3	75.4	9
1 0 2	52.0	9
2 0 0	51.2	5

Atomic structure:
```
data_DyZnSi
_chemical_formula_sum 'Dy1 Zn1 Si1'
_cell_length_a 4.1189
_cell_length_b 4.1189
_cell_length_c 4.0445
_cell_angle_alpha 90.00
_cell_angle_beta 90.00
_cell_angle_gamma 120.00
_space_group_name_H-M_alt 'P -6 m 2'
_space_group_IT_number 187
_space_group_name_Hall 'P -6 2'
loop_
_atom_site_label
_atom_site_type_symbol
_atom_site_fract_x
_atom_site_fract_y
_atom_site_fract_z
Dy1 Dy 0.0000 0.0000 0.0000
Zn1 Zn 0.3333 0.6667 0.5000
Si1 Si 0.6667 0.3333 0.5000
```

***

For La2Hf2O7, a crystal structure in the Materials Project, relaxed with GGA-PBE gives the theoretical X-ray powder pattern in this record (Cu Kα, 1.54184 Å).

Top 10 peaks for 2θ from 10° to 80°, most intense first:
hkl	2θ (°)	I (rel.)
2 2 2	28.6	100
4 4 0	47.6	46
6 2 2	56.5	45
4 0 0	33.2	36
6 6 2	76.9	18
8 4 0	79.3	15
4 4 4	59.2	11
8 0 0	69.6	7
1 1 1	14.2	3
3 1 1	27.4	3

Atomic structure:
Unit cell a=10.808 b=10.808 c=10.808 alpha=90.00 beta=90.00 gamma=90.00
Space group Fd-3m (No. 227, origin choice 2)
One atom of each set of equivalent atoms:
La  0.000  0.000  0.000 (multiplicity 16)
Hf  0.000  0.000  0.500 (multiplicity 16)
O  0.080  0.375  0.875 (multiplicity 48)
O  0.125  0.125  0.125 (multiplicity 8)

***

For BaSn3S4, a crystal structure in the Materials Project, relaxed with GGA-PBE gives the theoretical X-ray powder pattern in this record (Cu Kα, 1.54184 Å).

Top 10 peaks for 2θ from 10° to 80°, most intense first:
hkl	2θ (°)	I (rel.)
1 1 1	30.2	100
0 1 2	26.1	82
0 0 4	30.4	71
1 1 0	29.2	63
1 0 -2	25.0	37
2 0 -3	46.8	34
1 1 3	37.4	32
0 2 0	43.0	32
1 0 2	25.2	31
0 2 4	53.6	31

Atomic structure:
```
data_BaSn3S4
_chemical_formula_sum 'Ba1 Sn3 S4'
_cell_length_a 4.449
_cell_length_b 4.205
_cell_length_c 11.746
_cell_angle_alpha 90.00
_cell_angle_beta 90.50
_cell_angle_gamma 90.00
_space_group_name_H-M_alt 'P 1 m 1'
_space_group_IT_number 6
loop_
_space_group_symop_operation_xyz
'x,y,z'
'x,-y,z'
loop_
_atom_site_label
_atom_site_type_symbol
_atom_site_fract_x
_atom_site_fract_y
_atom_site_fract_z
Ba1 Ba 0.000 0.000 0.000
Sn1 Sn 0.215 0.500 0.746
Sn2 Sn 0.452 0.500 0.267
Sn3 Sn 0.731 0.000 0.493
S1 S 0.064 0.000 0.270
S2 S 0.099 0.500 0.535
S3 S 0.503 0.500 0.049
S4 S 0.591 0.000 0.738
```

***

For Ce7C3I10, a crystal structure in the Materials Project, relaxed with GGA-PBE gives the theoretical X-ray powder pattern in this record (Cu Kα, 1.54184 Å).

Top 10 peaks for 2θ from 10° to 80°, most intense first:
hkl	2θ (°)	I (rel.)
0 3 2	27.8	100
1 -1 4	29.2	78
3 2 0	29.5	63
1 -4 2	40.9	44
1 2 6	40.5	25
-3 1 2	41.1	24
3 5 2	40.9	24
1 0 1	10.6	23
2 3 -4	43.1	20
3 2 4	33.1	18

Atomic structure:
```
data_Ce7C3I10
_chemical_formula_sum 'Ce14 C6 I20'
_cell_length_a 9.734
_cell_length_b 11.714
_cell_length_c 13.892
_cell_angle_alpha 79.58
_cell_angle_beta 71.27
_cell_angle_gamma 66.17
_space_group_name_H-M_alt 'P -1'
_space_group_IT_number 2
loop_
_space_group_symop_operation_xyz
'x,y,z'
'-x,-y,-z'
loop_
_atom_site_label
_atom_site_type_symbol
_atom_site_fract_x
_atom_site_fract_y
_atom_site_fract_z
Ce1 Ce 0.043 0.418 0.340
Ce2 Ce 0.045 0.886 0.673
Ce3 Ce 0.136 0.274 0.087
Ce4 Ce 0.166 0.756 0.401
Ce5 Ce 0.248 0.052 0.420
Ce6 Ce 0.377 0.927 0.141
Ce7 Ce 0.455 0.205 0.193
C1 C 0.039 0.943 0.477
C2 C 0.165 0.226 0.272
C3 C 0.243 0.110 0.225
I1 I 0.041 0.435 0.862
I2 I 0.068 0.870 0.196
I3 I 0.147 0.303 0.545
I4 I 0.187 0.753 0.873
I5 I 0.284 0.609 0.592
I6 I 0.286 0.047 0.930
I7 I 0.352 0.478 0.276
I8 I 0.393 0.921 0.621
I9 I 0.438 0.344 0.976
I10 I 0.496 0.781 0.332
```